Starting from a DFT-relaxed cell (PBE+U, Alexandria), the X-ray diffraction stick pattern of VCl2F5 was calculated for copper Kα.
Lines closer than 0.1° are merged.

Peak list (8 most intense, 10° ≤ 2θ ≤ 90°, by angle)
d = 4.296 Å, I = 51.2, hkl 1 1 0
d = 4.263 Å, I = 100.0, hkl 0 1 1
d = 4.227 Å, I = 81.4, hkl 1 0 1
d = 4.124 Å, I = 65.9, hkl 0 1 -1
d = 3.348 Å, I = 51.8, hkl 0 0 2
d = 2.900 Å, I = 33.7, hkl 1 -1 0
d = 2.820 Å, I = 20.0, hkl 1 2 0
d = 2.250 Å, I = 19.2, hkl 1 0 3

abc: 4.986 5.885 7.038
angles: 81.16 72.20 66.04
Space group P1 (No. 1)
One atom of each set of equivalent atoms:
1 V 0.000 0.000 0.000
2 Cl 0.356 0.420 0.506
3 Cl 0.661 0.574 0.466
4 F 0.018 0.049 0.741
5 F 0.026 0.288 0.001
6 F 0.321 0.723 0.948
7 F 0.638 0.990 0.052
8 F 0.985 0.951 0.259